# 1
# Er7Cd2Ru2
Theoretical X-ray powder pattern, λ = 1.5418 Å (Cu Kα). Input: a crystal structure in Alexandria, relaxed with GGA-PBE.
Lines closer than 0.1° are merged.

Peak list (6 most intense, 2θ = 10–80°, in order of falling intensity)
d = 2.654 Å, 2θ 33.8, intensity 100; d = 2.724 Å, 2θ 32.9, intensity 79; d = 2.580 Å, 2θ 34.8, intensity 49; d = 2.875 Å, 2θ 31.1, intensity 47; d = 3.083 Å, 2θ 29.0, intensity 34; d = 1.538 Å, 2θ 60.2, intensity 31

Structural model:
Cell: 9.690 9.690 9.690 Å, 157.84 62.90 121.96°
Element x y z (fractional)
Er 0.000 0.000 0.000
Er 0.298 0.433 0.864
Er 0.311 0.627 0.683
Er 0.569 0.433 0.136
Er 0.615 0.266 0.348
Er 0.918 0.266 0.652
Er 0.944 0.627 0.317
Cd 0.272 0.772 0.500
Cd 0.668 0.668 0.000
Ru 0.167 0.924 0.243
Ru 0.681 0.924 0.757

---

# 2
# Er6Cd3Ru
Theoretical X-ray powder pattern, λ = 1.5418 Å (Cu Kα). Input: a crystal structure in Alexandria, relaxed with GGA-PBE.
Lines closer than 0.1° are merged.

Peak list (6 most intense, 2θ = 10–80°, in order of falling intensity)
d = 2.615 Å, 2θ 34.3, intensity 100; d = 2.587 Å, 2θ 34.7, intensity 72; d = 2.796 Å, 2θ 32.0, intensity 22; d = 2.684 Å, 2θ 33.4, intensity 19; d = 2.389 Å, 2θ 37.7, intensity 15; d = 1.506 Å, 2θ 61.6, intensity 14

Structural model:
Cell: 9.050 5.236 11.282 Å, 90.00 108.49 90.00°
Element x y z (fractional)
Er 0.034 0.250 0.414
Er 0.193 0.750 0.166
Er 0.281 0.250 0.003
Er 0.348 0.750 0.833
Er 0.379 0.250 0.345
Er 0.389 0.250 0.650
Er 0.611 0.750 0.350
Er 0.621 0.750 0.655
Er 0.652 0.250 0.167
Er 0.719 0.750 0.997
Er 0.807 0.250 0.834
Er 0.966 0.750 0.586
Cd 0.007 0.750 0.871
Cd 0.083 0.250 0.720
Cd 0.271 0.750 0.474
Cd 0.729 0.250 0.526
Cd 0.917 0.750 0.280
Cd 0.993 0.250 0.129
Ru 0.463 0.750 0.094
Ru 0.537 0.250 0.906

---

Question: Number 1 is which compound?
Answer: Er7Cd2Ru2

---

Question: What is the formula in the second record?
Answer: Er6Cd3Ru